No. 1
# Na6In3Cl14
Calculated powder diffraction line list, Cu Kα (weighted mean of Kα1 and Kα2). Input: a cell relaxed with PBE.
Neutral-atom scattering factors, no anomalous dispersion.

Main lines, sorted by position (2θ from 10° to 80°):
16.12°, d 5.497, rel. 74
16.87°, d 5.257, rel. 100
23.42°, d 3.799, rel. 52
29.00°, d 3.079, rel. 80
31.02°, d 2.883, rel. 46
39.56°, d 2.278, rel. 47
45.66°, d 1.987, rel. 34
47.59°, d 1.911, rel. 40

Structure:
a b c (Å): 10.513 10.513 6.896
angles (deg): 90.00 90.00 120.00
Atoms (fractional coordinates):
Na 0.023 0.578 0.000
Na 0.037 0.251 0.480
Na 0.214 0.963 0.480
Na 0.422 0.446 0.000
Na 0.554 0.977 0.000
Na 0.749 0.786 0.480
In 0.000 0.000 0.040
In 0.333 0.667 0.569
In 0.667 0.333 0.579
Cl 0.000 0.000 0.651
Cl 0.103 0.527 0.361
Cl 0.196 0.442 0.796
Cl 0.232 0.193 0.228
Cl 0.246 0.804 0.796
Cl 0.424 0.897 0.361
Cl 0.427 0.228 0.726
Cl 0.473 0.576 0.361
Cl 0.558 0.754 0.796
Cl 0.667 0.333 0.235
Cl 0.772 0.199 0.726
Cl 0.801 0.573 0.726
Cl 0.807 0.039 0.228
Cl 0.961 0.768 0.228

No. 2
# Pr4Y3Er3
Calculated powder diffraction line list, Cu Kα (weighted mean of Kα1 and Kα2). Input: a cell relaxed with PBE.
Neutral-atom scattering factors, no anomalous dispersion.

Main lines, sorted by position (2θ from 10° to 80°):
13.38°, d 6.617, rel. 14
30.19°, d 2.961, rel. 62
31.65°, d 2.827, rel. 100
38.47°, d 2.340, rel. 12
46.50°, d 1.953, rel. 13
55.53°, d 1.655, rel. 13
57.26°, d 1.609, rel. 15
58.30°, d 1.583, rel. 20

Structure:
a b c (Å): 3.834 9.358 9.358
angles (deg): 90.01 90.00 90.00
Atoms (fractional coordinates):
Pr 0.000 0.000 0.000
Pr 0.000 0.262 0.262
Pr 0.000 0.497 0.762
Pr 0.000 0.762 0.497
Y 0.000 0.131 0.630
Y 0.000 0.630 0.131
Y 0.500 0.798 0.798
Er 0.500 0.298 0.963
Er 0.500 0.463 0.463
Er 0.500 0.963 0.298

No. 3
# Tb4ScZn3
Calculated powder diffraction line list, Cu Kα (weighted mean of Kα1 and Kα2). Input: a cell relaxed with PBE.
Neutral-atom scattering factors, no anomalous dispersion.

Main lines, sorted by position (2θ from 10° to 80°):
24.31°, d 3.661, rel. 17
24.68°, d 3.607, rel. 8
34.44°, d 2.604, rel. 20
34.91°, d 2.570, rel. 100
49.82°, d 1.830, rel. 14
62.01°, d 1.497, rel. 13
62.54°, d 1.485, rel. 14
73.75°, d 1.285, rel. 8

Structure:
a b c (Å): 3.607 5.147 10.416
angles (deg): 90.00 90.00 90.00
Atoms (fractional coordinates):
Tb 0.000 0.000 0.000
Tb 0.000 0.000 0.500
Tb 0.000 0.500 0.235
Tb 0.000 0.500 0.765
Sc 0.500 0.500 0.500
Zn 0.500 0.000 0.256
Zn 0.500 0.000 0.744
Zn 0.500 0.500 0.000

No. 4
# CsCuF5
Calculated powder diffraction line list, Cu Kα (weighted mean of Kα1 and Kα2). Input: a cell relaxed with PBE.
Neutral-atom scattering factors, no anomalous dispersion.

Main lines, sorted by position (2θ from 10° to 80°):
20.74°, d 4.284, rel. 56
25.69°, d 3.467, rel. 100
33.21°, d 2.697, rel. 74
33.27°, d 2.693, rel. 25
35.81°, d 2.508, rel. 18
45.37°, d 1.999, rel. 15
50.00°, d 1.824, rel. 16
50.26°, d 1.815, rel. 21

Structure:
a b c (Å): 11.017 3.998 6.948
angles (deg): 90.00 128.96 90.00
Atoms (fractional coordinates):
Cs 0.000 0.000 0.000
Cs 0.500 0.500 0.000
Cu 0.000 0.500 0.500
Cu 0.500 0.000 0.500
F 0.000 0.000 0.500
F 0.147 0.500 0.462
F 0.147 0.500 0.831
F 0.353 0.000 0.169
F 0.353 0.000 0.538
F 0.500 0.500 0.500
F 0.647 0.000 0.462
F 0.647 0.000 0.831
F 0.853 0.500 0.169
F 0.853 0.500 0.538

No. 5
# AcLa2Nd9
Calculated powder diffraction line list, Cu Kα (weighted mean of Kα1 and Kα2). Input: a cell relaxed with PBE.
Neutral-atom scattering factors, no anomalous dispersion.

Main lines, sorted by position (2θ from 10° to 80°):
17.80°, d 4.984, rel. 1
29.45°, d 3.033, rel. 100
34.13°, d 2.627, rel. 51
49.04°, d 1.857, rel. 37
58.24°, d 1.584, rel. 44
61.10°, d 1.517, rel. 13
71.88°, d 1.313, rel. 6
79.53°, d 1.205, rel. 18

Structure:
a b c (Å): 5.253 5.253 15.766
angles (deg): 90.00 90.00 90.00
Atoms (fractional coordinates):
Ac 0.000 0.000 0.000
La 0.000 0.000 0.335
La 0.000 0.000 0.665
Nd 0.000 0.500 0.170
Nd 0.000 0.500 0.500
Nd 0.000 0.500 0.830
Nd 0.500 0.000 0.170
Nd 0.500 0.000 0.500
Nd 0.500 0.000 0.830
Nd 0.500 0.500 0.000
Nd 0.500 0.500 0.335
Nd 0.500 0.500 0.665

No. 6
# Sm8In2Pb
Calculated powder diffraction line list, Cu Kα (weighted mean of Kα1 and Kα2). Input: a cell relaxed with PBE.
Neutral-atom scattering factors, no anomalous dispersion.

Main lines, sorted by position (2θ from 10° to 80°):
31.31°, d 2.857, rel. 100
34.02°, d 2.636, rel. 19
36.01°, d 2.494, rel. 18
38.78°, d 2.322, rel. 14
50.37°, d 1.811, rel. 13
53.95°, d 1.700, rel. 11
59.20°, d 1.561, rel. 13
61.83°, d 1.501, rel. 14

Structure:
a b c (Å): 9.076 9.076 8.246
angles (deg): 109.84 109.84 31.90
Atoms (fractional coordinates):
Sm 0.054 0.054 0.228
Sm 0.144 0.144 0.706
Sm 0.320 0.320 0.564
Sm 0.403 0.403 0.047
Sm 0.597 0.597 0.953
Sm 0.680 0.680 0.436
Sm 0.856 0.856 0.294
Sm 0.946 0.946 0.772
In 0.224 0.224 0.149
In 0.776 0.776 0.851
Pb 0.500 0.500 0.500

No. 7
# TiGe2I8
Calculated powder diffraction line list, Cu Kα (weighted mean of Kα1 and Kα2). Input: a cell relaxed with PBE.
Neutral-atom scattering factors, no anomalous dispersion.

Main lines, sorted by position (2θ from 10° to 80°):
10.78°, d 8.206, rel. 87
15.90°, d 5.574, rel. 50
21.66°, d 4.103, rel. 65
22.69°, d 3.919, rel. 67
23.74°, d 3.748, rel. 76
28.96°, d 3.083, rel. 78
29.13°, d 3.066, rel. 100
33.32°, d 2.689, rel. 54

Structure:
a b c (Å): 8.415 8.415 7.796
angles (deg): 101.88 101.88 82.96
Atoms (fractional coordinates):
Ti 0.000 0.000 0.000
Ge 0.154 0.154 0.602
Ge 0.846 0.846 0.398
I 0.110 0.757 0.201
I 0.207 0.207 0.233
I 0.243 0.890 0.799
I 0.362 0.362 0.782
I 0.638 0.638 0.218
I 0.757 0.110 0.201
I 0.793 0.793 0.767
I 0.890 0.243 0.799

No. 8
# AcCeAsSe
Calculated powder diffraction line list, Cu Kα (weighted mean of Kα1 and Kα2). Input: a cell relaxed with PBE.
Neutral-atom scattering factors, no anomalous dispersion.

Main lines, sorted by position (2θ from 10° to 80°):
24.39°, d 3.650, rel. 30
25.31°, d 3.519, rel. 48
28.72°, d 3.108, rel. 21
31.05°, d 2.880, rel. 100
36.61°, d 2.454, rel. 50
42.35°, d 2.134, rel. 55
53.43°, d 1.715, rel. 22
65.50°, d 1.425, rel. 26

Structure:
a b c (Å): 4.269 4.269 22.974
angles (deg): 90.00 90.00 120.00
Atoms (fractional coordinates):
Ac 0.000 0.000 0.000
Ac 0.333 0.667 0.667
Ac 0.667 0.333 0.333
Ce 0.000 0.000 0.822
Ce 0.333 0.667 0.489
Ce 0.667 0.333 0.155
As 0.000 0.000 0.415
As 0.333 0.667 0.081
As 0.667 0.333 0.748
Se 0.000 0.000 0.575
Se 0.333 0.667 0.241
Se 0.667 0.333 0.908

No. 9
# MnFePd5
Calculated powder diffraction line list, Cu Kα (weighted mean of Kα1 and Kα2). Input: a cell relaxed with PBE.
Neutral-atom scattering factors, no anomalous dispersion.

Main lines, sorted by position (2θ from 10° to 80°):
35.80°, d 2.509, rel. 27
37.50°, d 2.398, rel. 57
40.12°, d 2.247, rel. 46
41.18°, d 2.192, rel. 100
43.28°, d 2.090, rel. 92
45.94°, d 1.975, rel. 20
70.16°, d 1.341, rel. 20
71.64°, d 1.317, rel. 24

Structure:
a b c (Å): 6.996 6.996 4.797
angles (deg): 90.00 90.00 114.57
Atoms (fractional coordinates):
Mn 0.000 0.000 0.000
Mn 0.000 0.000 0.500
Fe 0.409 0.591 0.750
Fe 0.591 0.409 0.250
Pd 0.011 0.362 0.750
Pd 0.201 0.799 0.750
Pd 0.231 0.394 0.250
Pd 0.362 0.011 0.250
Pd 0.394 0.231 0.750
Pd 0.606 0.769 0.250
Pd 0.638 0.989 0.750
Pd 0.769 0.606 0.750
Pd 0.799 0.201 0.250
Pd 0.989 0.638 0.250

No. 10
# PrI2O6
Calculated powder diffraction line list, Cu Kα (weighted mean of Kα1 and Kα2). Input: a cell relaxed with PBE.
Neutral-atom scattering factors, no anomalous dispersion.

Main lines, sorted by position (2θ from 10° to 80°):
13.86°, d 6.389, rel. 100
15.55°, d 5.700, rel. 54
24.03°, d 3.703, rel. 81
24.39°, d 3.649, rel. 76
26.14°, d 3.409, rel. 56
28.36°, d 3.147, rel. 48
29.45°, d 3.033, rel. 64
37.47°, d 2.400, rel. 64

Structure:
a b c (Å): 7.498 7.498 7.948
angles (deg): 113.37 113.37 98.98
Atoms (fractional coordinates):
Pr 0.163 0.837 0.750
Pr 0.837 0.163 0.250
I 0.047 0.359 0.815
I 0.359 0.047 0.315
I 0.641 0.953 0.685
I 0.953 0.641 0.185
O 0.111 0.464 0.658
O 0.139 0.793 0.051
O 0.178 0.187 0.298
O 0.187 0.178 0.798
O 0.207 0.861 0.449
O 0.464 0.111 0.158
O 0.536 0.889 0.842
O 0.793 0.139 0.551
O 0.813 0.822 0.202
O 0.822 0.813 0.702
O 0.861 0.207 0.949
O 0.889 0.536 0.342

No. 11
# SmYAgPd
Calculated powder diffraction line list, Cu Kα (weighted mean of Kα1 and Kα2). Input: a cell relaxed with PBE.
Neutral-atom scattering factors, no anomalous dispersion.

Main lines, sorted by position (2θ from 10° to 80°):
35.03°, d 2.562, rel. 100
35.24°, d 2.547, rel. 50
50.05°, d 1.823, rel. 9
50.70°, d 1.801, rel. 17
62.68°, d 1.482, rel. 17
63.11°, d 1.473, rel. 35
74.00°, d 1.281, rel. 10
74.52°, d 1.273, rel. 5

Structure:
a b c (Å): 3.601 3.601 7.290
angles (deg): 90.00 90.00 90.00
Atoms (fractional coordinates):
Sm 0.000 0.000 0.000
Y 0.000 0.000 0.478
Ag 0.500 0.500 0.730
Pd 0.500 0.500 0.247

No. 12
# MgAgTe
Calculated powder diffraction line list, Cu Kα (weighted mean of Kα1 and Kα2). Input: a cell relaxed with PBE.
Neutral-atom scattering factors, no anomalous dispersion.

Main lines, sorted by position (2θ from 10° to 80°):
23.39°, d 3.803, rel. 23
31.02°, d 2.883, rel. 100
41.11°, d 2.195, rel. 41
47.58°, d 1.911, rel. 30
52.38°, d 1.747, rel. 22
64.66°, d 1.441, rel. 12
68.67°, d 1.367, rel. 19
79.55°, d 1.205, rel. 13

Structure:
a b c (Å): 4.391 4.391 4.421
angles (deg): 90.00 90.00 120.00
Atoms (fractional coordinates):
Mg 0.000 0.000 0.000
Ag 0.667 0.333 0.688
Te 0.333 0.667 0.357